No. 1
This entry pairs a crystal structure of EuAg2Pb with its theoretical XRD peak list. Radiation: Cu Kα. Structure: a PBE-relaxed structure.
Neutral-atom scattering factors, no anomalous dispersion.

Unit cell a=5.184 b=5.184 c=5.184 alpha=60.00 beta=60.00 gamma=60.00
Atoms (fractional coordinates):
Eu (0.000, 0.000, 0.000)
Ag (0.250, 0.250, 0.250)
Ag (0.750, 0.750, 0.750)
Pb (0.500, 0.500, 0.500)

Largest 10 diffraction maxima, sorted by position, 2θ from 10° to 80°:
2θ (°)  intensity
20.99  2
24.28  6
34.61  100
40.82  1
42.72  2
49.75  18
56.10  3
62.01  36
73.00  11
78.24  2

***

No. 2
This entry pairs a crystal structure of KSO3 with its theoretical XRD peak list. Radiation: Cu Kα. Structure: a PBE-relaxed structure.
Neutral-atom scattering factors, no anomalous dispersion.

Unit cell a=10.147 b=10.147 c=6.493 alpha=90.00 beta=90.00 gamma=120.00
Atoms (fractional coordinates):
K (0.000, 0.301, 0.000)
K (0.000, 0.637, 0.500)
K (0.301, 0.000, 0.000)
K (0.363, 0.363, 0.500)
K (0.637, 0.000, 0.500)
K (0.699, 0.699, 0.000)
S (0.000, 0.000, 0.331)
S (0.000, 0.000, 0.669)
S (0.333, 0.667, 0.199)
S (0.333, 0.667, 0.859)
S (0.667, 0.333, 0.141)
S (0.667, 0.333, 0.801)
O (0.061, 0.901, 0.273)
O (0.099, 0.160, 0.273)
O (0.160, 0.099, 0.727)
O (0.176, 0.555, 0.257)
O (0.234, 0.728, 0.803)
O (0.272, 0.506, 0.803)
O (0.379, 0.824, 0.257)
O (0.445, 0.621, 0.257)
O (0.494, 0.766, 0.803)
O (0.506, 0.272, 0.197)
O (0.555, 0.176, 0.743)
O (0.621, 0.445, 0.743)
O (0.728, 0.234, 0.197)
O (0.766, 0.494, 0.197)
O (0.824, 0.379, 0.743)
O (0.840, 0.939, 0.273)
O (0.901, 0.061, 0.727)
O (0.939, 0.840, 0.727)

Largest 10 diffraction maxima, sorted by position, 2θ from 10° to 80°:
2θ (°)  intensity
16.98  18
17.48  90
22.24  100
24.46  33
30.52  54
32.75  85
33.56  21
38.09  19
43.04  17
49.57  23

***

No. 3
This entry pairs a crystal structure of Co2P with its theoretical XRD peak list. Radiation: Cu Kα. Structure: a PBE-relaxed structure.
Neutral-atom scattering factors, no anomalous dispersion.

Unit cell a=5.726 b=5.726 c=3.408 alpha=90.00 beta=90.00 gamma=120.00
Atoms (fractional coordinates):
Co (0.000, 0.259, 0.000)
Co (0.000, 0.602, 0.500)
Co (0.259, 0.000, 0.000)
Co (0.398, 0.398, 0.500)
Co (0.602, 0.000, 0.500)
Co (0.741, 0.741, 0.000)
P (0.000, 0.000, 0.500)
P (0.333, 0.667, 0.000)
P (0.667, 0.333, 0.000)

Largest 10 diffraction maxima, sorted by position, 2θ from 10° to 80°:
2θ (°)  intensity
31.24  5
41.18  100
45.22  50
48.57  36
53.80  21
55.60  21
55.99  13
68.18  6
74.38  9
75.39  17